Simulated XRD peak list of K4CoO4 for a wavelength of 1.5418 Å, from a GGA+U-relaxed structure.
Kinematic intensities with the Lorentz-polarization factor, no thermal factor.

Top 8 peaks for 10 to 90 degrees two-theta, by intensity:
d_spacing  2θ (°)  I_rel
2.911  30.7  100.0
2.774  32.3  42.8
2.635  34.0  28.2
1.863  48.9  26.2
2.225  40.5  25.2
5.270  16.8  23.1
3.727  23.9  20.2
2.193  41.2  18.6

a b c (Å): 7.4530 7.4530 5.9766
angles (deg): 90.00 90.00 90.00
Space group P4_2/nmc (No. 137, origin choice 2)
Inequivalent atoms, fractional coordinates:
K1 0.0306 0.2500 0.1169 (multiplicity 8)
Co1 0.2500 0.7500 0.2500 (multiplicity 2)
O1 0.0508 0.7500 0.4278 (multiplicity 8)

---

Simulated XRD peak list of K10Co4O9 for a wavelength of 1.5418 Å, from a GGA+U-relaxed structure.
Kinematic intensities with the Lorentz-polarization factor, no thermal factor.

Top 8 peaks for 10 to 90 degrees two-theta, by intensity:
d_spacing  2θ (°)  I_rel
2.822  31.7  100.0
2.694  33.3  97.2
3.001  29.8  86.7
3.056  29.2  80.4
2.794  32.0  73.5
2.864  31.2  59.8
2.603  34.5  54.8
2.316  38.9  52.8

a b c (Å): 6.7616 9.1743 9.2675
angles (deg): 60.67 69.14 89.57
Space group P1 (No. 1)
Inequivalent atoms, fractional coordinates:
K1 0.0000 0.0000 0.0000 (multiplicity 1)
K2 0.0106 0.9339 0.4769 (multiplicity 1)
K3 0.1919 0.6532 0.3354 (multiplicity 1)
K4 0.3579 0.4046 0.7411 (multiplicity 1)
K5 0.3790 0.3906 0.1392 (multiplicity 1)
K6 0.5085 0.8515 0.4752 (multiplicity 1)
K7 0.5373 0.8477 0.8721 (multiplicity 1)
K8 0.7117 0.5907 0.2944 (multiplicity 1)
K9 0.8939 0.3049 0.1445 (multiplicity 1)
K10 0.9099 0.2272 0.6273 (multiplicity 1)
Co1 0.1074 0.7294 0.8546 (multiplicity 1)
Co2 0.4201 0.1621 0.5449 (multiplicity 1)
Co3 0.4835 0.0837 0.0688 (multiplicity 1)
Co4 0.8314 0.5118 0.7407 (multiplicity 1)
O1 0.0897 0.6259 0.7223 (multiplicity 1)
O2 0.1184 0.6230 0.0748 (multiplicity 1)
O3 0.1597 0.9705 0.7007 (multiplicity 1)
O4 0.2212 0.1438 0.1053 (multiplicity 1)
O5 0.3392 0.3672 0.4548 (multiplicity 1)
O6 0.5722 0.8818 0.1390 (multiplicity 1)
O7 0.6786 0.0961 0.5176 (multiplicity 1)
O8 0.7259 0.2862 0.9331 (multiplicity 1)
O9 0.7656 0.6296 0.5463 (multiplicity 1)

---

Simulated XRD peak list of K4Co2O5 for a wavelength of 1.5418 Å, from a GGA+U-relaxed structure.
Kinematic intensities with the Lorentz-polarization factor, no thermal factor.

Top 8 peaks for 10 to 90 degrees two-theta, by intensity:
d_spacing  2θ (°)  I_rel
4.545  19.5  100.0
2.940  30.4  61.2
2.533  35.4  45.8
5.879  15.1  36.4
3.093  28.9  22.0
3.204  27.8  19.9
2.720  32.9  19.7
2.571  34.9  16.4

a b c (Å): 7.1648 7.1648 10.2856
angles (deg): 90.00 90.00 90.00
Space group P4_2/mnm (No. 136)
Inequivalent atoms, fractional coordinates:
K1 0.0000 0.0000 0.2241 (multiplicity 4)
K2 0.0000 0.5000 0.2500 (multiplicity 4)
Co1 0.1767 0.1767 0.5000 (multiplicity 4)
O1 0.0000 0.0000 0.5000 (multiplicity 2)
O2 0.2403 0.2403 0.3434 (multiplicity 8)

---

Simulated XRD peak list of K2Co2O3 for a wavelength of 1.5418 Å, from a GGA+U-relaxed structure.
Kinematic intensities with the Lorentz-polarization factor, no thermal factor.

Top 8 peaks for 10 to 90 degrees two-theta, by intensity:
d_spacing  2θ (°)  I_rel
2.673  33.5  100.0
2.626  34.1  47.0
2.462  36.5  44.5
2.917  30.7  40.7
2.263  39.8  37.9
4.260  20.8  34.4
2.041  44.4  32.7
2.648  33.8  28.2

a b c (Å): 5.9545 6.2107 6.5012
angles (deg): 90.00 115.76 90.00
Space group P2_1/c (No. 14)
Inequivalent atoms, fractional coordinates:
K1 0.1816 0.1285 0.4260 (multiplicity 4)
Co1 0.3353 0.6096 0.5778 (multiplicity 4)
O1 0.0000 0.0000 0.0000 (multiplicity 2)
O2 0.4062 0.6405 0.2974 (multiplicity 4)

---

Simulated XRD peak list of K4Co7O14 for a wavelength of 1.5418 Å, from a GGA+U-relaxed structure.
Kinematic intensities with the Lorentz-polarization factor, no thermal factor.

Top 8 peaks for 10 to 90 degrees two-theta, by intensity:
d_spacing  2θ (°)  I_rel
6.243  14.2  100.0
2.302  39.1  38.5
1.940  46.8  35.2
3.121  28.6  28.5
1.593  57.9  22.7
2.476  36.3  17.3
2.128  42.5  15.0
1.430  65.3  12.9

a b c (Å): 7.5649 7.5649 12.4854
angles (deg): 90.00 90.00 120.00
Space group P6_3/m (No. 176)
Inequivalent atoms, fractional coordinates:
K1 0.0000 0.0000 0.2500 (multiplicity 2)
K2 0.0298 0.5756 0.2500 (multiplicity 6)
Co1 0.0000 0.0000 0.0000 (multiplicity 2)
Co2 0.1430 0.4285 0.0019 (multiplicity 12)
O1 0.0462 0.8077 0.0781 (multiplicity 12)
O2 0.0987 0.6220 0.5742 (multiplicity 12)
O3 0.3333 0.6667 0.0831 (multiplicity 4)

---

Simulated XRD peak list of K2CoP4O12 for a wavelength of 1.5418 Å, from a GGA+U-relaxed structure.
Kinematic intensities with the Lorentz-polarization factor, no thermal factor.

Top 8 peaks for 10 to 90 degrees two-theta, by intensity:
d_spacing  2θ (°)  I_rel
8.343  10.6  100.0
2.844  31.5  59.3
2.781  32.2  53.3
3.689  24.1  52.5
3.420  26.1  41.9
3.940  22.6  41.9
3.210  27.8  41.7
2.863  31.2  41.6

a b c (Å): 11.2445 12.8407 7.7686
angles (deg): 90.00 102.56 90.00
Space group Cc (No. 9)
Inequivalent atoms, fractional coordinates:
K1 0.0000 0.1251 0.0000 (multiplicity 4)
K2 0.2027 0.3645 0.8302 (multiplicity 4)
Co1 0.3691 0.1514 0.1690 (multiplicity 4)
P1 0.0326 0.1623 0.4955 (multiplicity 4)
P2 0.1867 0.3099 0.3359 (multiplicity 4)
P3 0.2605 0.0760 0.7539 (multiplicity 4)
P4 0.4804 0.0777 0.5982 (multiplicity 4)
O1 0.0018 0.2384 0.6268 (multiplicity 4)
O2 0.0828 0.2224 0.3408 (multiplicity 4)
O3 0.1025 0.4080 0.2514 (multiplicity 4)
O4 0.1505 0.0956 0.5873 (multiplicity 4)
O5 0.2425 0.1418 0.9067 (multiplicity 4)
O6 0.2553 0.3418 0.5139 (multiplicity 4)
O7 0.2559 0.2746 0.2004 (multiplicity 4)
O8 0.2691 0.0404 0.2702 (multiplicity 4)
O9 0.3754 0.1247 0.6877 (multiplicity 4)
O10 0.4407 0.4144 0.9029 (multiplicity 4)
O11 0.4698 0.0383 0.0768 (multiplicity 4)
O12 0.4882 0.1469 0.4442 (multiplicity 4)

---

Simulated XRD peak list of KCoP2O8 for a wavelength of 1.5418 Å, from a GGA+U-relaxed structure.
Kinematic intensities with the Lorentz-polarization factor, no thermal factor.

Top 8 peaks for 10 to 90 degrees two-theta, by intensity:
d_spacing  2θ (°)  I_rel
8.413  10.5  100.0
2.936  30.4  90.0
3.686  24.1  75.5
2.367  38.0  32.8
4.100  21.7  22.9
1.843  49.5  21.0
1.871  48.7  20.3
2.063  43.9  18.0

a b c (Å): 4.7342 4.7342 8.4125
angles (deg): 90.00 90.00 120.00
Space group P-3 (No. 147)
Inequivalent atoms, fractional coordinates:
K1 0.0000 0.0000 0.0000 (multiplicity 1)
Co1 0.0000 0.0000 0.5000 (multiplicity 1)
P1 0.3333 0.6667 0.6910 (multiplicity 2)
O1 0.0396 0.3377 0.6309 (multiplicity 6)
O2 0.3333 0.6667 0.8714 (multiplicity 2)

---

Simulated XRD peak list of KCoP3O9 for a wavelength of 1.5418 Å, from a GGA+U-relaxed structure.
Kinematic intensities with the Lorentz-polarization factor, no thermal factor.

Top 8 peaks for 10 to 90 degrees two-theta, by intensity:
d_spacing  2θ (°)  I_rel
3.774  23.6  100.0
2.783  32.2  76.2
3.186  28.0  38.2
5.828  15.2  36.4
2.914  30.7  20.1
1.646  55.9  18.7
1.594  57.8  15.0
1.943  46.8  14.9

a b c (Å): 6.7293 6.7293 9.9077
angles (deg): 90.00 90.00 120.00
Space group P-6c2 (No. 188)
Inequivalent atoms, fractional coordinates:
K1 0.0000 0.0000 0.0000 (multiplicity 2)
Co1 0.6667 0.3333 0.0000 (multiplicity 2)
P1 0.0513 0.4429 0.2500 (multiplicity 6)
O1 0.1443 0.4290 0.7500 (multiplicity 6)
O2 0.4085 0.0702 0.1199 (multiplicity 12)